Starting from a DFT-relaxed cell (PBE, Alexandria), the powder XRD pattern of La8TbNd6 was calculated for Cu Kα (weighted mean of Kα1 and Kα2).
No peak broadening, texture or thermal motion is included.

Structural model:
abc: 9.6083 9.6083 20.3446
angles: 90.00 90.00 120.00
Space group R-3 (No. 148, hexagonal axes)
One atom of each set of equivalent atoms:
La 0.0000 0.0000 0.0746 (multiplicity 6)
La 0.0702 0.8238 0.6619 (multiplicity 18)
Tb 0.0000 0.0000 0.5000 (multiplicity 3)
Nd 0.0477 0.7950 0.1894 (multiplicity 18)

Principal peaks in the range 10 to 90 degrees two-theta, low angle first:
- (0 0 6), 2θ = 26.3°, d = 3.391 Å, intensity 197
- (1 2 2), 2θ = 29.7°, d = 3.005 Å, intensity 1000
- (2 0 5), 2θ = 30.7°, d = 2.909 Å, intensity 161
- (2 -1 6), 2θ = 32.3°, d = 2.771 Å, intensity 101
- (1 0 7), 2θ = 32.6°, d = 2.744 Å, intensity 147
- (3 -1 4), 2θ = 33.5°, d = 2.675 Å, intensity 493
- (1 2 8), 2θ = 45.9°, d = 1.977 Å, intensity 96
- (4 1 0), 2θ = 50.2°, d = 1.816 Å, intensity 243
- (4 1 6), 2θ = 57.6°, d = 1.601 Å, intensity 141
- (6 -2 2), 2θ = 59.5°, d = 1.554 Å, intensity 120

=====

Starting from a DFT-relaxed cell (PBE, Alexandria), the powder XRD pattern of LiMg10AlH24 was calculated for Cu Kα (weighted mean of Kα1 and Kα2).
No peak broadening, texture or thermal motion is included.

Structural model:
abc: 4.436 8.942 8.894
angles: 90.00 90.36 90.00
Space group P2 (No. 3)
One atom of each set of equivalent atoms:
Li 0.000 0.000 0.000 (multiplicity 1)
Mg 0.000 0.004 0.500 (multiplicity 1)
Mg 0.000 0.336 0.500 (multiplicity 1)
Mg 0.000 0.672 0.500 (multiplicity 1)
Mg 0.000 0.675 0.000 (multiplicity 1)
Mg 0.494 0.168 0.245 (multiplicity 2)
Mg 0.496 0.840 0.240 (multiplicity 2)
Mg 0.499 0.504 0.254 (multiplicity 2)
Al 0.000 0.335 0.000 (multiplicity 1)
H 0.187 0.486 0.908 (multiplicity 2)
H 0.193 0.197 0.908 (multiplicity 2)
H 0.193 0.502 0.402 (multiplicity 2)
H 0.195 0.173 0.400 (multiplicity 2)
H 0.197 0.832 0.902 (multiplicity 2)
H 0.199 0.837 0.399 (multiplicity 2)
H 0.280 0.342 0.144 (multiplicity 2)
H 0.301 0.006 0.654 (multiplicity 2)
H 0.302 0.009 0.147 (multiplicity 2)
H 0.304 0.670 0.654 (multiplicity 2)
H 0.306 0.661 0.149 (multiplicity 2)
H 0.313 0.336 0.655 (multiplicity 2)

Principal peaks in the range 10 to 90 degrees two-theta, low angle first:
- (1 0 -2), 2θ = 28.3°, d = 3.150 Å, intensity 573
- (1 0 2), 2θ = 28.5°, d = 3.131 Å, intensity 538
- (1 3 0), 2θ = 36.3°, d = 2.475 Å, intensity 1000
- (0 0 4), 2θ = 40.6°, d = 2.224 Å, intensity 163
- (2 0 0), 2θ = 40.7°, d = 2.218 Å, intensity 164
- (1 3 -4), 2θ = 55.5°, d = 1.657 Å, intensity 158
- (2 3 -2), 2θ = 55.5°, d = 1.655 Å, intensity 162
- (2 3 2), 2θ = 55.7°, d = 1.650 Å, intensity 304
- (1 6 -2), 2θ = 69.9°, d = 1.346 Å, intensity 145
- (2 6 0), 2θ = 77.1°, d = 1.237 Å, intensity 99